For LaNdMn2O6, a cell relaxed with PBE+U gives the simulated X-ray diffraction stick pattern in this record (Cu Kα, 1.54184 Å).
Neutral-atom scattering factors, no anomalous dispersion.

Structure:
a b c (Å): 7.734 5.476 5.598
angles (deg): 90.00 90.00 90.00
Space group Pmc2_1 (No. 26)
Inequivalent atoms, fractional coordinates:
La: 0.000 0.239 0.000 x2
Nd: 0.500 0.264 0.100 x2
Mn: 0.252 0.249 0.546 x4
O: 0.000 0.326 0.560 x2
O: 0.212 0.044 0.253 x4
O: 0.295 0.459 0.836 x4
O: 0.500 0.165 0.527 x2

Most intense lines, 15 to 90 degrees two-theta, most intense first:
two_theta  intensity  index
32.5  100.0  2 1 1
32.7  25.2  0 2 0
46.4  24.2  0 2 2
58.3  21.8  2 3 1
32.0  21.8  0 0 2
22.7  16.3  0 1 1
68.2  16.2  4 2 2
47.0  15.2  4 0 0
40.4  12.4  2 2 0
48.0  12.3  3 0 2
53.2  11.6  1 1 3
25.5  11.3  1 1 1